No. 1
Diffraction record for Y5Si. The powder X-ray diffraction pattern is calculated, not measured: it uses a structure optimized by DFT (GGA-PBE) and Cu Kα X-rays.

Structural model:
```
data_Y5Si
_chemical_formula_sum 'Y10 Si2'
_cell_length_a 12.0261
_cell_length_b 3.8077
_cell_length_c 8.3064
_cell_angle_alpha 90.00
_cell_angle_beta 113.00
_cell_angle_gamma 90.00
_symmetry_space_group_name_H-M 'C 1 2/m 1'
_symmetry_Int_Tables_number 12
loop_
_symmetry_equiv_pos_as_xyz
'x,y,z'
'-x,-y,-z'
'-x,y,-z'
'x,-y,z'
'x+1/2,y+1/2,z'
'-x+1/2,-y+1/2,-z'
'-x+1/2,y+1/2,-z'
'x+1/2,-y+1/2,z'
loop_
_atom_site_label
_atom_site_fract_x
_atom_site_fract_y
_atom_site_fract_z
_atom_site_occupancy
Y1 0.0000 0.0000 0.0000 1
Y2 0.1351 0.5000 0.3692 1
Y3 0.1640 0.5000 0.7883 1
Si1 0.0000 0.0000 0.5000 1
```

Top 10 peaks for 2θ = 10–80°, in order of rising 2θ:
- hkl 1 1 -1, 2θ = 26.0°, rel. 29
- hkl 4 0 -1, 2θ = 29.7°, rel. 25
- hkl 4 0 -2, 2θ = 31.6°, rel. 33
- hkl 1 1 -2, 2θ = 31.9°, rel. 100
- hkl 2 0 -3, 2θ = 32.4°, rel. 37
- hkl 2 0 2, 2θ = 33.3°, rel. 51
- hkl 3 1 0, 2θ = 33.8°, rel. 99
- hkl 0 2 0, 2θ = 47.8°, rel. 21
- hkl 5 1 -3, 2θ = 48.9°, rel. 27
- hkl 1 1 4, 2θ = 57.3°, rel. 19

No. 2
Diffraction record for PrSmTe. The powder X-ray diffraction pattern is calculated, not measured: it uses a structure optimized by DFT (GGA-PBE) and Cu Kα X-rays.

Structural model:
```
data_PrSmTe
_chemical_formula_sum 'Pr4 Sm4 Te4'
_cell_length_a 7.2792
_cell_length_b 7.2792
_cell_length_c 7.1974
_cell_angle_alpha 90.00
_cell_angle_beta 90.00
_cell_angle_gamma 90.00
_symmetry_space_group_name_H-M 'P 4/m b m'
_symmetry_Int_Tables_number 127
_symmetry_space_group_name_Hall '-P 4 2ab'
loop_
_atom_site_label
_atom_site_fract_x
_atom_site_fract_y
_atom_site_fract_z
_atom_site_occupancy
Pr1 0.1600 0.3400 0.0000 1
Sm1 0.1655 0.6655 0.5000 1
Te1 0.0000 0.0000 0.2517 1
```

Top 10 peaks for 2θ = 10–80°, in order of rising 2θ:
- hkl 2 1 1, 2θ = 30.1°, rel. 100
- hkl 1 1 2, 2θ = 30.3°, rel. 42
- hkl 2 0 2, 2θ = 35.1°, rel. 45
- hkl 3 1 0, 2θ = 39.1°, rel. 38
- hkl 2 1 3, 2θ = 47.1°, rel. 29
- hkl 4 1 1, 2θ = 53.4°, rel. 20
- hkl 4 0 2, 2θ = 56.7°, rel. 15
- hkl 3 3 2, 2θ = 59.7°, rel. 25
- hkl 3 1 4, 2θ = 65.9°, rel. 16
- hkl 5 2 1, 2θ = 71.0°, rel. 16

No. 3
Diffraction record for DySbSe. The powder X-ray diffraction pattern is calculated, not measured: it uses a structure optimized by DFT (GGA-PBE) and Cu Kα X-rays.

Structural model:
```
data_DySbSe
_chemical_formula_sum 'Dy4 Sb4 Se4'
_cell_length_a 7.8662
_cell_length_b 5.3367
_cell_length_c 9.3638
_cell_angle_alpha 90.00
_cell_angle_beta 111.86
_cell_angle_gamma 90.00
_symmetry_space_group_name_H-M 'C 1 2/m 1'
_symmetry_Int_Tables_number 12
loop_
_symmetry_equiv_pos_as_xyz
'x,y,z'
'-x,-y,-z'
'-x,y,-z'
'x,-y,z'
'x+1/2,y+1/2,z'
'-x+1/2,-y+1/2,-z'
'-x+1/2,y+1/2,-z'
'x+1/2,-y+1/2,z'
loop_
_atom_site_label
_atom_site_fract_x
_atom_site_fract_y
_atom_site_fract_z
_atom_site_occupancy
Dy1 0.2442 0.0000 0.3107 1
Sb1 0.1603 0.0000 0.9539 1
Se1 0.1263 0.5000 0.3556 1
```

Top 10 peaks for 2θ = 10–80°, in order of rising 2θ:
- hkl 1 1 -1, 2θ = 20.9°, rel. 100
- hkl 2 0 0, 2θ = 24.4°, rel. 55
- hkl 0 0 3, 2θ = 30.9°, rel. 59
- hkl 2 0 -3, 2θ = 31.5°, rel. 35
- hkl 1 1 2, 2θ = 32.3°, rel. 36
- hkl 1 1 -3, 2θ = 33.3°, rel. 32
- hkl 0 2 0, 2θ = 33.6°, rel. 70
- hkl 3 1 -1, 2θ = 38.4°, rel. 85
- hkl 0 2 3, 2θ = 46.3°, rel. 40
- hkl 3 1 -4, 2θ = 47.7°, rel. 35

No. 4
Diffraction record for PaGe2Mo4. The powder X-ray diffraction pattern is calculated, not measured: it uses a structure optimized by DFT (GGA-PBE) and Cu Kα X-rays.

Structural model:
```
data_PaGe2Mo4
_chemical_formula_sum 'Pa2 Ge4 Mo8'
_cell_length_a 4.4777
_cell_length_b 15.9304
_cell_length_c 3.4457
_cell_angle_alpha 90.00
_cell_angle_beta 90.00
_cell_angle_gamma 90.00
_symmetry_space_group_name_H-M 'C m m m'
_symmetry_Int_Tables_number 65
_symmetry_space_group_name_Hall '-C 2 2'
loop_
_atom_site_label
_atom_site_fract_x
_atom_site_fract_y
_atom_site_fract_z
_atom_site_occupancy
Pa1 0.0000 0.0000 0.0000 1
Ge1 0.0000 0.4220 0.5000 1
Mo1 0.0000 0.1705 0.5000 1
Mo2 0.0000 0.3034 0.0000 1
```

Top 10 peaks for 2θ = 10–80°, in order of rising 2θ:
- hkl 1 1 1, 2θ = 33.3°, rel. 15
- hkl 0 4 1, 2θ = 34.4°, rel. 28
- hkl 1 3 1, 2θ = 37.0°, rel. 100
- hkl 2 0 0, 2θ = 40.3°, rel. 32
- hkl 1 7 0, 2θ = 44.7°, rel. 27
- hkl 0 0 2, 2θ = 53.2°, rel. 18
- hkl 2 4 1, 2θ = 54.0°, rel. 16
- hkl 2 0 2, 2θ = 68.8°, rel. 19
- hkl 3 3 1, 2θ = 71.1°, rel. 17
- hkl 1 7 2, 2θ = 71.9°, rel. 13

No. 5
Diffraction record for HgRhSe2O8. The powder X-ray diffraction pattern is calculated, not measured: it uses a structure optimized by DFT (GGA-PBE) and Cu Kα X-rays.

Structural model:
```
data_HgRhSe2O8
_chemical_formula_sum 'Hg2 Rh2 Se4 O16'
_cell_length_a 8.5653
_cell_length_b 5.6176
_cell_length_c 7.3461
_cell_angle_alpha 90.00
_cell_angle_beta 91.70
_cell_angle_gamma 90.00
_symmetry_space_group_name_H-M 'C 1 2/m 1'
_symmetry_Int_Tables_number 12
loop_
_symmetry_equiv_pos_as_xyz
'x,y,z'
'-x,-y,-z'
'-x,y,-z'
'x,-y,z'
'x+1/2,y+1/2,z'
'-x+1/2,-y+1/2,-z'
'-x+1/2,y+1/2,-z'
'x+1/2,-y+1/2,z'
loop_
_atom_site_label
_atom_site_fract_x
_atom_site_fract_y
_atom_site_fract_z
_atom_site_occupancy
Hg1 0.0000 0.0000 0.0000 1
Rh1 0.0000 0.0000 0.5000 1
Se1 0.1404 0.5000 0.2882 1
O1 0.0190 0.2459 0.2923 1
O2 0.2196 0.5000 0.0851 1
O3 0.2398 0.0000 0.5231 1
```

Top 10 peaks for 2θ = 10–80°, in order of rising 2θ:
- hkl 1 1 0, 2θ = 18.9°, rel. 70
- hkl 2 0 0, 2θ = 20.7°, rel. 53
- hkl 1 1 1, 2θ = 22.6°, rel. 72
- hkl 2 0 -1, 2θ = 23.7°, rel. 36
- hkl 1 1 -2, 2θ = 30.7°, rel. 100
- hkl 1 1 2, 2θ = 31.2°, rel. 66
- hkl 0 2 0, 2θ = 31.9°, rel. 53
- hkl 3 1 0, 2θ = 35.3°, rel. 79
- hkl 2 2 2, 2θ = 46.2°, rel. 27
- hkl 4 2 -2, 2θ = 59.3°, rel. 23

No. 6
Diffraction record for Cu2PtBr2. The powder X-ray diffraction pattern is calculated, not measured: it uses a structure optimized by DFT (GGA-PBE) and Cu Kα X-rays.

Structural model:
```
data_Cu2PtBr2
_chemical_formula_sum 'Cu4 Pt2 Br4'
_cell_length_a 7.2784
_cell_length_b 7.2784
_cell_length_c 3.5877
_cell_angle_alpha 90.00
_cell_angle_beta 90.00
_cell_angle_gamma 90.00
_symmetry_space_group_name_H-M 'P 4/m b m'
_symmetry_Int_Tables_number 127
_symmetry_space_group_name_Hall '-P 4 2ab'
loop_
_atom_site_label
_atom_site_fract_x
_atom_site_fract_y
_atom_site_fract_z
_atom_site_occupancy
Cu1 0.1230 0.3770 0.0000 1
Pt1 0.0000 0.0000 0.5000 1
Br1 0.1948 0.6948 0.5000 1
```

Top 10 peaks for 2θ = 10–80°, in order of rising 2θ:
- hkl 1 1 0, 2θ = 17.2°, rel. 32
- hkl 0 0 1, 2θ = 24.8°, rel. 33
- hkl 1 1 1, 2θ = 30.4°, rel. 100
- hkl 2 2 0, 2θ = 34.9°, rel. 49
- hkl 2 1 1, 2θ = 37.3°, rel. 74
- hkl 3 1 0, 2θ = 39.1°, rel. 80
- hkl 2 2 1, 2θ = 43.3°, rel. 53
- hkl 3 1 1, 2θ = 46.9°, rel. 31
- hkl 4 0 1, 2θ = 56.7°, rel. 37
- hkl 3 1 2, 2θ = 66.0°, rel. 34

No. 7
Diffraction record for NaLi4Cd3. The powder X-ray diffraction pattern is calculated, not measured: it uses a structure optimized by DFT (GGA-PBE) and Cu Kα X-rays.

Structural model:
```
data_NaLi4Cd3
_chemical_formula_sum 'Na2 Li8 Cd6'
_cell_length_a 9.8968
_cell_length_b 6.3266
_cell_length_c 5.1359
_cell_angle_alpha 90.00
_cell_angle_beta 90.00
_cell_angle_gamma 90.00
_symmetry_space_group_name_H-M 'P m m a'
_symmetry_Int_Tables_number 51
loop_
_symmetry_equiv_pos_as_xyz
'x,y,z'
'-x,-y,-z'
'-x+1/2,-y,z'
'x+1/2,y,-z'
'x+1/2,-y,-z'
'-x+1/2,y,z'
'-x,y,-z'
'x,-y,z'
loop_
_atom_site_label
_atom_site_fract_x
_atom_site_fract_y
_atom_site_fract_z
_atom_site_occupancy
Na1 0.0000 0.0000 0.0000 1
Li1 0.0000 0.2697 0.5000 1
Li2 0.2500 0.2714 0.1081 1
Cd1 0.0000 0.5000 0.0000 1
Cd2 0.2500 0.0000 0.5641 1
Cd3 0.2500 0.5000 0.6132 1
```

Top 10 peaks for 2θ = 10–80°, in order of rising 2θ:
- hkl 0 1 0, 2θ = 14.0°, rel. 17
- hkl 1 0 1, 2θ = 19.5°, rel. 24
- hkl 0 1 1, 2θ = 22.3°, rel. 16
- hkl 2 0 1, 2θ = 25.0°, rel. 100
- hkl 0 2 0, 2θ = 28.2°, rel. 46
- hkl 1 0 2, 2θ = 36.1°, rel. 16
- hkl 4 0 0, 2θ = 36.3°, rel. 29
- hkl 2 2 1, 2θ = 38.0°, rel. 82
- hkl 4 2 0, 2θ = 46.6°, rel. 22
- hkl 6 2 1, 2θ = 66.5°, rel. 16

No. 8
Diffraction record for PuMg2Pb4. The powder X-ray diffraction pattern is calculated, not measured: it uses a structure optimized by DFT (GGA-PBE) and Cu Kα X-rays.

Structural model:
```
data_PuMg2Pb4
_chemical_formula_sum 'Pu2 Mg4 Pb8'
_cell_length_a 7.8597
_cell_length_b 10.4372
_cell_length_c 4.9197
_cell_angle_alpha 90.00
_cell_angle_beta 90.00
_cell_angle_gamma 90.00
_symmetry_space_group_name_H-M 'C m m m'
_symmetry_Int_Tables_number 65
_symmetry_space_group_name_Hall '-C 2 2'
loop_
_atom_site_label
_atom_site_fract_x
_atom_site_fract_y
_atom_site_fract_z
_atom_site_occupancy
Pu1 0.0000 0.0000 0.0000 1
Mg1 0.0000 0.2304 0.5000 1
Pb1 0.2094 0.5000 0.5000 1
Pb2 0.2500 0.2500 0.0000 1
```

Top 10 peaks for 2θ = 10–80°, in order of rising 2θ:
- hkl 2 0 0, 2θ = 22.6°, rel. 14
- hkl 1 1 1, 2θ = 23.0°, rel. 26
- hkl 0 2 1, 2θ = 24.9°, rel. 28
- hkl 1 3 1, 2θ = 33.5°, rel. 12
- hkl 2 2 1, 2θ = 33.9°, rel. 100
- hkl 0 4 0, 2θ = 34.4°, rel. 26
- hkl 0 0 2, 2θ = 36.5°, rel. 23
- hkl 0 4 2, 2θ = 51.0°, rel. 18
- hkl 2 6 1, 2θ = 61.2°, rel. 19
- hkl 2 2 3, 2θ = 64.1°, rel. 16

No. 9
Diffraction record for LiVSe3. The powder X-ray diffraction pattern is calculated, not measured: it uses a structure optimized by DFT (GGA-PBE) and Cu Kα X-rays.

Structural model:
```
data_LiVSe3
_chemical_formula_sum 'Li2 V2 Se6'
_cell_length_a 6.4923
_cell_length_b 6.2664
_cell_length_c 6.5468
_cell_angle_alpha 90.00
_cell_angle_beta 119.49
_cell_angle_gamma 90.00
_symmetry_space_group_name_H-M 'P 1 21/m 1'
_symmetry_Int_Tables_number 11
loop_
_symmetry_equiv_pos_as_xyz
'x,y,z'
'-x,-y,-z'
'-x,y+1/2,-z'
'x,-y+1/2,z'
loop_
_atom_site_label
_atom_site_fract_x
_atom_site_fract_y
_atom_site_fract_z
_atom_site_occupancy
Li1 0.1343 0.2500 0.4983 1
V1 0.0975 0.7500 0.0952 1
Se1 0.1748 0.0029 0.8593 1
Se2 0.4286 0.7500 0.4440 1
```

Top 10 peaks for 2θ = 10–80°, in order of rising 2θ:
- hkl 0 0 1, 2θ = 15.5°, rel. 19
- hkl 1 0 -1, 2θ = 15.7°, rel. 30
- hkl 0 1 1, 2θ = 21.1°, rel. 32
- hkl 1 0 1, 2θ = 27.1°, rel. 64
- hkl 1 0 -2, 2θ = 27.2°, rel. 42
- hkl 2 0 -1, 2θ = 27.5°, rel. 42
- hkl 1 2 -1, 2θ = 32.7°, rel. 100
- hkl 1 2 -2, 2θ = 39.8°, rel. 19
- hkl 2 2 -2, 2θ = 43.2°, rel. 56
- hkl 1 2 -3, 2θ = 51.6°, rel. 29

No. 10
Diffraction record for Eu2NbGaO7. The powder X-ray diffraction pattern is calculated, not measured: it uses a structure optimized by DFT (GGA-PBE) and Cu Kα X-rays.

Structural model:
```
data_Eu2NbGaO7
_chemical_formula_sum 'Eu8 Nb4 Ga4 O28'
_cell_length_a 7.3071
_cell_length_b 7.4733
_cell_length_c 10.4621
_cell_angle_alpha 90.00
_cell_angle_beta 90.00
_cell_angle_gamma 90.00
_symmetry_space_group_name_H-M 'I m m a'
_symmetry_Int_Tables_number 74
_symmetry_space_group_name_Hall '-I 2b 2'
loop_
_atom_site_label
_atom_site_fract_x
_atom_site_fract_y
_atom_site_fract_z
_atom_site_occupancy
Eu1 0.0000 0.0000 0.0000 1
Eu2 0.2500 0.2500 0.2500 1
Nb1 0.0000 0.0000 0.5000 1
Ga1 0.2500 0.2500 0.7500 1
O1 0.0000 0.2500 0.1256 1
O2 0.0000 0.2500 0.4233 1
O3 0.0000 0.2500 0.8326 1
O4 0.2013 0.0486 0.6251 1
```

Top 10 peaks for 2θ = 10–80°, in order of rising 2θ:
- hkl 0 2 2, 2θ = 29.4°, rel. 100
- hkl 2 0 2, 2θ = 29.8°, rel. 97
- hkl 2 2 0, 2θ = 34.3°, rel. 64
- hkl 0 4 0, 2θ = 48.7°, rel. 16
- hkl 2 2 4, 2θ = 49.3°, rel. 61
- hkl 4 0 0, 2θ = 49.9°, rel. 15
- hkl 2 4 2, 2θ = 58.2°, rel. 29
- hkl 0 2 6, 2θ = 58.4°, rel. 15
- hkl 2 0 6, 2θ = 58.7°, rel. 14
- hkl 4 2 2, 2θ = 59.0°, rel. 27

No. 11
Diffraction record for Ba2LiSbH. The powder X-ray diffraction pattern is calculated, not measured: it uses a structure optimized by DFT (GGA-PBE) and Cu Kα X-rays.

Structural model:
```
data_Ba2LiSbH
_chemical_formula_sum 'Ba4 Li2 Sb2 H2'
_cell_length_a 7.2030
_cell_length_b 4.7393
_cell_length_c 9.2661
_cell_angle_alpha 90.00
_cell_angle_beta 108.41
_cell_angle_gamma 90.00
_symmetry_space_group_name_H-M 'P 1 21/m 1'
_symmetry_Int_Tables_number 11
loop_
_symmetry_equiv_pos_as_xyz
'x,y,z'
'-x,-y,-z'
'-x,y+1/2,-z'
'x,-y+1/2,z'
loop_
_atom_site_label
_atom_site_fract_x
_atom_site_fract_y
_atom_site_fract_z
_atom_site_occupancy
Ba1 0.1890 0.2500 0.3979 1
Ba2 0.2222 0.2500 0.9549 1
Li1 0.4450 0.7500 0.2512 1
Sb1 0.3472 0.7500 0.7035 1
H1 0.1744 0.7500 0.1853 1
```

Top 10 peaks for 2θ = 10–80°, in order of rising 2θ:
- hkl 0 1 1, 2θ = 21.3°, rel. 33
- hkl 1 1 0, 2θ = 22.8°, rel. 27
- hkl 2 0 0, 2θ = 26.1°, rel. 29
- hkl 1 0 2, 2θ = 27.4°, rel. 20
- hkl 2 0 -2, 2θ = 27.5°, rel. 28
- hkl 0 1 2, 2θ = 27.7°, rel. 100
- hkl 2 1 0, 2θ = 32.3°, rel. 32
- hkl 1 1 2, 2θ = 33.4°, rel. 26
- hkl 2 1 -2, 2θ = 33.5°, rel. 21
- hkl 0 2 0, 2θ = 38.0°, rel. 25

Please write out number 8 again, unchanged.
Diffraction record for PuMg2Pb4. The powder X-ray diffraction pattern is calculated, not measured: it uses a structure optimized by DFT (GGA-PBE) and Cu Kα X-rays.

Structural model:
```
data_PuMg2Pb4
_chemical_formula_sum 'Pu2 Mg4 Pb8'
_cell_length_a 7.8597
_cell_length_b 10.4372
_cell_length_c 4.9197
_cell_angle_alpha 90.00
_cell_angle_beta 90.00
_cell_angle_gamma 90.00
_symmetry_space_group_name_H-M 'C m m m'
_symmetry_Int_Tables_number 65
_symmetry_space_group_name_Hall '-C 2 2'
loop_
_atom_site_label
_atom_site_fract_x
_atom_site_fract_y
_atom_site_fract_z
_atom_site_occupancy
Pu1 0.0000 0.0000 0.0000 1
Mg1 0.0000 0.2304 0.5000 1
Pb1 0.2094 0.5000 0.5000 1
Pb2 0.2500 0.2500 0.0000 1
```

Top 10 peaks for 2θ = 10–80°, in order of rising 2θ:
- hkl 2 0 0, 2θ = 22.6°, rel. 14
- hkl 1 1 1, 2θ = 23.0°, rel. 26
- hkl 0 2 1, 2θ = 24.9°, rel. 28
- hkl 1 3 1, 2θ = 33.5°, rel. 12
- hkl 2 2 1, 2θ = 33.9°, rel. 100
- hkl 0 4 0, 2θ = 34.4°, rel. 26
- hkl 0 0 2, 2θ = 36.5°, rel. 23
- hkl 0 4 2, 2θ = 51.0°, rel. 18
- hkl 2 6 1, 2θ = 61.2°, rel. 19
- hkl 2 2 3, 2θ = 64.1°, rel. 16